1.
Diffraction record for Tb2LuBr. The powder diffractogram is calculated, not measured: it uses a DFT-relaxed cell (PBE, Alexandria) and Cu Kα X-rays.

Crystal structure
Cell lengths 3.6289, 3.6289, 30.6405 Å; angles 90.00, 90.00, 120.00 degrees
Space group R-3m (No. 166, hexagonal axes)
Inequivalent atoms, fractional coordinates:
Tb  0.0000  0.0000  0.2434 (multiplicity 6)
Lu  0.0000  0.0000  0.0000 (multiplicity 3)
Br  0.0000  0.0000  0.5000 (multiplicity 3)

Main lines, sorted by position (10 to 80 degrees two-theta):
d = 2.908 Å, I = 100, hkl 1 0 4
d = 2.553 Å, I = 21, hkl 0 0 12
d = 2.430 Å, I = 58, hkl 0 1 8
d = 1.814 Å, I = 26, hkl 1 1 0
d = 1.635 Å, I = 14, hkl 1 0 16
d = 1.539 Å, I = 15, hkl 0 2 4
d = 1.479 Å, I = 23, hkl 1 1 12
d = 1.454 Å, I = 12, hkl 2 0 8


2.
Diffraction record for MgBr6. The powder diffractogram is calculated, not measured: it uses a DFT-relaxed cell (PBE, Alexandria) and Cu Kα X-rays.

Crystal structure
Cell lengths 9.6375, 15.9534, 8.6499 Å; angles 90.00, 90.00, 90.00 degrees
Space group Cmmm (No. 65)
Inequivalent atoms, fractional coordinates:
Mg  0.0000  0.0000  0.0000 (multiplicity 2)
Br  0.0000  0.0000  0.2713 (multiplicity 4)
Br  0.1247  0.2050  0.0000 (multiplicity 8)

Main lines, sorted by position (10 to 80 degrees two-theta):
d = 8.650 Å, I = 94, hkl 0 0 1
d = 8.249 Å, I = 100, hkl 1 1 0
d = 5.864 Å, I = 53, hkl 0 2 1
d = 4.100 Å, I = 18, hkl 1 3 1
d = 3.988 Å, I = 16, hkl 0 4 0
d = 3.802 Å, I = 43, hkl 0 2 2
d = 3.169 Å, I = 30, hkl 1 3 2
d = 3.029 Å, I = 25, hkl 1 5 0


3.
Diffraction record for Mg5Br. The powder diffractogram is calculated, not measured: it uses a DFT-relaxed cell (PBE, Alexandria) and Cu Kα X-rays.

Crystal structure
Cell lengths 11.7525, 3.3761, 7.9892 Å; angles 90.00, 111.94, 90.00 degrees
Space group Cm (No. 8)
Inequivalent atoms, fractional coordinates:
Mg  0.0000  0.0000  0.0000 (multiplicity 2)
Mg  0.0150  0.0000  0.5977 (multiplicity 2)
Mg  0.1842  0.5000  0.3311 (multiplicity 2)
Mg  0.2047  0.5000  0.9359 (multiplicity 2)
Mg  0.3948  0.0000  0.2433 (multiplicity 2)
Br  0.2678  0.0000  0.6328 (multiplicity 2)

Main lines, sorted by position (10 to 80 degrees two-theta):
d = 7.411 Å, I = 52, hkl 0 0 1
d = 5.461 Å, I = 66, hkl 2 0 0
d = 2.938 Å, I = 24, hkl 4 0 -1
d = 2.844 Å, I = 55, hkl 1 1 1
d = 2.737 Å, I = 44, hkl 4 0 -2
d = 2.578 Å, I = 100, hkl 1 1 -2
d = 2.549 Å, I = 27, hkl 3 1 -1
d = 2.472 Å, I = 86, hkl 0 0 3


4.
Diffraction record for MgBr7. The powder diffractogram is calculated, not measured: it uses a DFT-relaxed cell (PBE, Alexandria) and Cu Kα X-rays.

Crystal structure
Cell lengths 9.4233, 9.4233, 9.4233 Å; angles 90.00, 90.00, 90.00 degrees
Space group Fm-3m (No. 225)
Inequivalent atoms, fractional coordinates:
Mg  0.0000  0.0000  0.0000 (multiplicity 4)
Br  0.0000  0.0000  0.5000 (multiplicity 4)
Br  0.0000  0.2500  0.2500 (multiplicity 24)

Main lines, sorted by position (10 to 80 degrees two-theta):
d = 5.441 Å, I = 5, hkl 1 1 1
d = 4.712 Å, I = 3, hkl 2 0 0
d = 2.841 Å, I = 3, hkl 3 1 1
d = 2.720 Å, I = 100, hkl 2 2 2
d = 2.356 Å, I = 49, hkl 4 0 0
d = 1.666 Å, I = 33, hkl 4 4 0
d = 1.421 Å, I = 39, hkl 6 2 2
d = 1.360 Å, I = 11, hkl 4 4 4


5.
Diffraction record for Mg5MnBr12. The powder diffractogram is calculated, not measured: it uses a DFT-relaxed cell (PBE, Alexandria) and Cu Kα X-rays.

Crystal structure
Cell lengths 6.7234, 11.6524, 14.1192 Å; angles 90.00, 90.03, 90.00 degrees
Space group C2/m (No. 12)
Inequivalent atoms, fractional coordinates:
Mg  0.0000  0.0000  0.0000 (multiplicity 2)
Mg  0.0000  0.1667  0.5000 (multiplicity 4)
Mg  0.0000  0.3333  0.0000 (multiplicity 4)
Mn  0.0000  0.5000  0.5000 (multiplicity 2)
Br  0.1663  0.0000  0.6069 (multiplicity 4)
Br  0.1665  0.5000  0.8932 (multiplicity 4)
Br  0.1665  0.1667  0.8932 (multiplicity 8)
Br  0.1671  0.3330  0.6069 (multiplicity 8)

Main lines, sorted by position (10 to 80 degrees two-theta):
d = 7.060 Å, I = 48, hkl 0 0 2
d = 3.530 Å, I = 26, hkl 0 0 4
d = 3.271 Å, I = 32, hkl 2 0 -1
d = 3.036 Å, I = 100, hkl 1 3 2
d = 2.736 Å, I = 49, hkl 2 0 -3
d = 2.435 Å, I = 26, hkl 2 0 4
d = 2.163 Å, I = 25, hkl 1 3 -5
d = 1.923 Å, I = 34, hkl 3 3 -1


Copy entry 2 word for word.
Diffraction record for MgBr6. The powder diffractogram is calculated, not measured: it uses a DFT-relaxed cell (PBE, Alexandria) and Cu Kα X-rays.

Crystal structure
Cell lengths 9.6375, 15.9534, 8.6499 Å; angles 90.00, 90.00, 90.00 degrees
Space group Cmmm (No. 65)
Inequivalent atoms, fractional coordinates:
Mg  0.0000  0.0000  0.0000 (multiplicity 2)
Br  0.0000  0.0000  0.2713 (multiplicity 4)
Br  0.1247  0.2050  0.0000 (multiplicity 8)

Main lines, sorted by position (10 to 80 degrees two-theta):
d = 8.650 Å, I = 94, hkl 0 0 1
d = 8.249 Å, I = 100, hkl 1 1 0
d = 5.864 Å, I = 53, hkl 0 2 1
d = 4.100 Å, I = 18, hkl 1 3 1
d = 3.988 Å, I = 16, hkl 0 4 0
d = 3.802 Å, I = 43, hkl 0 2 2
d = 3.169 Å, I = 30, hkl 1 3 2
d = 3.029 Å, I = 25, hkl 1 5 0